Theoretical PXRD pattern
Compound: SmYSbBr2
Radiation: λ = 1.5418 Å (Cu Kα)
Structure: a GGA-PBE-relaxed structure

Cell and atoms:
Cell: 4.268 4.268 10.902 Å, 90.00 90.00 120.00°
Fractional positions:
Sm 0.000 0.000 0.000
Y 0.667 0.333 0.678
Sb 0.333 0.667 0.835
Br 0.000 0.000 0.523
Br 0.667 0.333 0.161

The 8 most intense peaks (2θ from 5° to 70°), by intensity:
29.2°, intensity 100
8.1°, intensity 74
41.1°, intensity 38
42.4°, intensity 35
52.3°, intensity 19
69.4°, intensity 16
67.7°, intensity 15
34.6°, intensity 15


Theoretical PXRD pattern
Compound: TbSbBr6
Radiation: λ = 1.5418 Å (Cu Kα)
Structure: a GGA-PBE-relaxed structure

Cell and atoms:
Cell: 7.136 7.136 6.946 Å, 100.11 100.11 120.14°
Fractional positions:
Tb 0.000 0.000 0.000
Sb 0.668 0.332 0.000
Br 0.072 0.404 0.246
Br 0.248 0.229 0.752
Br 0.418 0.102 0.248
Br 0.596 0.928 0.754
Br 0.771 0.752 0.248
Br 0.898 0.582 0.752

The 8 most intense peaks (2θ from 5° to 70°), by intensity:
31.1°, intensity 100
44.0°, intensity 54
30.9°, intensity 50
13.6°, intensity 49
44.9°, intensity 35
25.4°, intensity 32
15.1°, intensity 26
16.9°, intensity 19


Theoretical PXRD pattern
Compound: TbTmSbBr2
Radiation: λ = 1.5418 Å (Cu Kα)
Structure: a GGA-PBE-relaxed structure

Cell and atoms:
Cell: 4.202 4.202 10.755 Å, 90.00 90.00 120.00°
Fractional positions:
Tb 0.000 0.000 0.000
Tm 0.333 0.667 0.320
Sb 0.667 0.333 0.164
Br 0.000 0.000 0.477
Br 0.333 0.667 0.839

The 8 most intense peaks (2θ from 5° to 70°), by intensity:
29.6°, intensity 100
8.2°, intensity 81
41.8°, intensity 38
43.0°, intensity 35
53.1°, intensity 19
68.8°, intensity 17
35.1°, intensity 16
25.8°, intensity 12


Theoretical PXRD pattern
Compound: Ta3Se8Br6
Radiation: λ = 1.5418 Å (Cu Kα)
Structure: a GGA-PBE-relaxed structure

Cell and atoms:
Cell: 7.334 11.346 12.950 Å, 70.95 78.02 82.13°
Fractional positions:
Ta 0.002 0.497 0.377
Ta 0.002 0.498 0.125
Ta 0.403 0.001 0.744
Ta 0.597 0.999 0.256
Ta 0.998 0.502 0.875
Ta 0.998 0.503 0.623
Se 0.004 0.699 0.439
Se 0.065 0.302 0.047
Se 0.225 0.615 0.184
Se 0.225 0.620 0.698
Se 0.255 0.395 0.743
Se 0.266 0.391 0.258
Se 0.275 0.557 0.452
Se 0.290 0.454 0.978
Se 0.710 0.546 0.022
Se 0.725 0.443 0.548
Se 0.734 0.609 0.742
Se 0.745 0.605 0.257
Se 0.775 0.380 0.302
Se 0.775 0.385 0.816
Se 0.935 0.698 0.953
Se 0.996 0.301 0.561
Br 0.125 0.107 0.842
Br 0.184 0.923 0.656
Br 0.312 0.100 0.351
Br 0.364 0.800 0.906
Br 0.388 0.922 0.166
Br 0.430 0.194 0.574
Br 0.570 0.806 0.426
Br 0.612 0.078 0.834
Br 0.636 0.200 0.094
Br 0.688 0.900 0.649
Br 0.816 0.077 0.344
Br 0.875 0.893 0.158

The 8 most intense peaks (2θ from 5° to 70°), by intensity:
14.4°, intensity 100
15.4°, intensity 83
8.3°, intensity 81
16.6°, intensity 73
32.9°, intensity 32
34.2°, intensity 24
43.7°, intensity 24
33.2°, intensity 23


Theoretical PXRD pattern
Compound: SmBr3
Radiation: λ = 1.5418 Å (Cu Kα)
Structure: a GGA-PBE-relaxed structure

Cell and atoms:
Cell: 6.794 6.794 12.421 Å, 90.00 90.00 90.00°
Fractional positions:
Sm 0.000 0.000 0.171
Sm 0.000 0.000 0.829
Sm 0.500 0.500 0.329
Sm 0.500 0.500 0.671
Br 0.200 0.200 0.000
Br 0.202 0.202 0.339
Br 0.202 0.202 0.661
Br 0.298 0.702 0.161
Br 0.298 0.702 0.839
Br 0.300 0.700 0.500
Br 0.700 0.300 0.500
Br 0.702 0.298 0.161
Br 0.702 0.298 0.839
Br 0.798 0.798 0.339
Br 0.798 0.798 0.661
Br 0.800 0.800 0.000

The 8 most intense peaks (2θ from 5° to 70°), by intensity:
28.5°, intensity 100
36.7°, intensity 89
18.5°, intensity 84
45.7°, intensity 64
37.4°, intensity 47
14.9°, intensity 46
29.4°, intensity 34
58.9°, intensity 24


Theoretical PXRD pattern
Compound: TmSn2Br6
Radiation: λ = 1.5418 Å (Cu Kα)
Structure: a GGA-PBE-relaxed structure

Cell and atoms:
Cell: 20.505 20.505 20.505 Å, 11.69 11.69 11.69°
Fractional positions:
Tm 0.000 0.000 0.000
Sn 0.444 0.444 0.444
Sn 0.556 0.556 0.556
Br 0.082 0.082 0.082
Br 0.193 0.193 0.193
Br 0.307 0.307 0.307
Br 0.693 0.693 0.693
Br 0.807 0.807 0.807
Br 0.918 0.918 0.918

The 8 most intense peaks (2θ from 5° to 70°), by intensity:
13.0°, intensity 100
43.3°, intensity 78
27.3°, intensity 75
29.5°, intensity 64
34.1°, intensity 62
31.2°, intensity 31
45.4°, intensity 28
28.7°, intensity 28